Starting from DFT lattice parameters and positions (GGA-PBE), the powder diffraction line list of CdHg2Pb was computed for CuKα.

Largest 12 diffraction maxima, by angle, 15 to 90 degrees two-theta:
2θ = 22.45°, I = 2, (1 0 0); 2θ = 26.04°, I = 4, (1 0 1); 2θ = 31.95°, I = 64, (1 1 0); 2θ = 34.79°, I = 100, (1 0 2); 2θ = 45.82°, I = 24, (2 0 0); 2θ = 53.97°, I = 7, (0 0 4); 2θ = 58.79°, I = 45, (2 1 2); 2θ = 64.11°, I = 16, (1 1 4); 2θ = 66.80°, I = 8, (2 2 0); 2θ = 73.44°, I = 11, (2 0 4); 2θ = 75.98°, I = 11, (3 1 0); 2θ = 77.57°, I = 11, (3 0 2)

Cell: 3.961 3.961 6.795 Å, 90.00 90.00 90.00°
Space group P4mm (No. 99)
Unique sites:
Cd: 0.000 0.000 0.000 (multiplicity 1)
Hg: 0.000 0.000 0.462 (multiplicity 1)
Hg: 0.500 0.500 0.227 (multiplicity 1)
Pb: 0.500 0.500 0.730 (multiplicity 1)